Diffraction record for BaSrCo4O12. The powder XRD pattern is calculated, not measured: it uses a GGA+U-relaxed structure and Cu Kα X-rays.

Structure:
Lattice parameters (Å, degrees): 5.4432 5.4432 7.6460 90.00 90.00 90.00
Positions (direct):
1 Ba 0.0000 0.0000 0.0000
2 Sr 0.5000 0.5000 0.5000
3 Co 0.0000 0.5000 0.2525
4 Co 0.0000 0.5000 0.7475
5 Co 0.5000 0.0000 0.2525
6 Co 0.5000 0.0000 0.7475
7 O 0.0000 0.5000 0.0000
8 O 0.0000 0.5000 0.5000
9 O 0.2535 0.2535 0.2562
10 O 0.2535 0.2535 0.7438
11 O 0.2535 0.7465 0.2562
12 O 0.2535 0.7465 0.7438
13 O 0.5000 0.0000 0.0000
14 O 0.5000 0.0000 0.5000
15 O 0.7465 0.2535 0.2562
16 O 0.7465 0.2535 0.7438
17 O 0.7465 0.7465 0.2562
18 O 0.7465 0.7465 0.7438

Most intense lines, 2θ = 10–90°, low angle first:
- 20.02 deg, I 100, hkl 1 0 1
- 32.91 deg, I 48, hkl 2 0 0
- 33.02 deg, I 95, hkl 1 1 2
- 38.82 deg, I 36, hkl 2 1 1
- 39.02 deg, I 18, hkl 1 0 3
- 47.23 deg, I 44, hkl 2 2 0
- 47.57 deg, I 22, hkl 0 0 4
- 51.94 deg, I 16, hkl 2 1 3
- 58.84 deg, I 36, hkl 3 1 2
- 59.05 deg, I 18, hkl 2 0 4
- 69.28 deg, I 24, hkl 2 2 4
- 78.63 deg, I 16, hkl 4 2 0